For NpTaN, a crystal structure in Alexandria, relaxed with PBE gives the computed powder X-ray diffraction pattern in this record (Cu Kα X-rays).
No peak broadening, texture or thermal motion is included.

Top 10 peaks for 10° ≤ 2θ ≤ 90°, in order of rising 2θ:
2θ (°), d_spacing, I (rel.)
32.0, 2.793, 31
33.4, 2.681, 20
37.2, 2.417, 100
47.0, 1.934, 20
59.7, 1.548, 18
60.5, 1.529, 24
69.4, 1.354, 21
72.5, 1.304, 15
77.0, 1.239, 4
79.3, 1.209, 4

Crystal structure
```
data_NpTaN
_cell_length_a 11.171
_cell_length_b 3.095
_cell_length_c 5.363
_cell_angle_alpha 90.00
_cell_angle_beta 90.00
_cell_angle_gamma 90.00
_symmetry_space_group_name_H-M 'A m m 2'
_symmetry_Int_Tables_number 38
_symmetry_space_group_name_Hall 'A 2 -2'
loop_
_atom_site_label
_atom_site_type_symbol
_atom_site_fract_x
_atom_site_fract_y
_atom_site_fract_z
Np1 Np 0.000 0.000 0.000
Np2 Np 0.500 0.000 0.002
Ta1 Ta 0.255 0.000 0.333
N1 N 0.147 0.000 0.667
```

For UPdPb2O6, a crystal structure in Alexandria, relaxed with PBE gives the computed powder X-ray diffraction pattern in this record (Cu Kα X-rays).
No peak broadening, texture or thermal motion is included.

Top 10 peaks for 10° ≤ 2θ ≤ 90°, in order of rising 2θ:
2θ (°), d_spacing, I (rel.)
27.4, 3.256, 100
30.1, 2.968, 94
31.2, 2.869, 38
33.8, 2.654, 28
35.0, 2.564, 26
46.6, 1.948, 27
47.6, 1.912, 30
53.2, 1.722, 19
54.8, 1.674, 21
55.0, 1.669, 14

Crystal structure
```
data_UPdPb2O6
_cell_length_a 11.265
_cell_length_b 5.737
_cell_length_c 5.171
_cell_angle_alpha 90.00
_cell_angle_beta 109.57
_cell_angle_gamma 90.00
_symmetry_space_group_name_H-M 'C 1 2/m 1'
_symmetry_Int_Tables_number 12
_symmetry_space_group_name_Hall '-C 2y'
loop_
_atom_site_label
_atom_site_type_symbol
_atom_site_fract_x
_atom_site_fract_y
_atom_site_fract_z
U1 U 0.000 0.000 0.000
Pd1 Pd 0.000 0.500 0.500
Pb1 Pb 0.236 0.500 0.215
O1 O 0.081 0.257 0.797
O2 O 0.169 0.000 0.282
```

For Al5GaCu, a crystal structure in Alexandria, relaxed with PBE gives the computed powder X-ray diffraction pattern in this record (Cu Kα X-rays).
No peak broadening, texture or thermal motion is included.

Top 10 peaks for 10° ≤ 2θ ≤ 90°, in order of rising 2θ:
2θ (°), d_spacing, I (rel.)
19.3, 4.592, 61
28.2, 3.162, 57
28.6, 3.119, 54
34.4, 2.604, 100
34.7, 2.586, 46
38.9, 2.313, 25
39.2, 2.296, 40
42.5, 2.128, 69
49.0, 1.858, 61
54.5, 1.683, 24

Crystal structure
```
data_Al5GaCu
_cell_length_a 6.238
_cell_length_b 6.324
_cell_length_c 6.784
_cell_angle_alpha 90.00
_cell_angle_beta 90.00
_cell_angle_gamma 90.00
_symmetry_space_group_name_H-M 'I m m 2'
_symmetry_Int_Tables_number 44
_symmetry_space_group_name_Hall 'I 2 -2'
loop_
_atom_site_label
_atom_site_type_symbol
_atom_site_fract_x
_atom_site_fract_y
_atom_site_fract_z
Al1 Al 0.000 0.000 0.000
Al2 Al 0.000 0.299 0.745
Al3 Al 0.205 0.500 0.123
Ga1 Ga 0.000 0.000 0.365
Cu1 Cu 0.000 0.500 0.434
```

For Tb2AgTeS3, a crystal structure in Alexandria, relaxed with PBE gives the computed powder X-ray diffraction pattern in this record (Cu Kα X-rays).
No peak broadening, texture or thermal motion is included.

Top 10 peaks for 10° ≤ 2θ ≤ 90°, in order of rising 2θ:
2θ (°), d_spacing, I (rel.)
13.3, 6.656, 18
21.8, 4.074, 31
25.6, 3.475, 100
31.0, 2.882, 61
33.9, 2.646, 23
40.7, 2.218, 34
44.5, 2.037, 74
46.6, 1.948, 24
61.8, 1.501, 19
73.5, 1.289, 23

Crystal structure
```
data_Tb2AgTeS3
_cell_length_a 8.1473
_cell_length_b 8.1473
_cell_length_c 19.9790
_cell_angle_alpha 90.00
_cell_angle_beta 90.00
_cell_angle_gamma 120.00
_symmetry_space_group_name_H-M 'R -3 m'
_symmetry_Int_Tables_number 166
_symmetry_space_group_name_Hall '-R 3 2"'
loop_
_atom_site_label
_atom_site_type_symbol
_atom_site_fract_x
_atom_site_fract_y
_atom_site_fract_z
Tb1 Tb 0.0000 0.0000 0.0000
Tb2 Tb 0.0000 0.5000 0.5000
Ag1 Ag 0.0000 0.0000 0.4060
Te1 Te 0.0000 0.0000 0.2653
S1 S 0.0292 0.5146 0.7558
```

For Li2MgSnSe4, a crystal structure in Alexandria, relaxed with PBE gives the computed powder X-ray diffraction pattern in this record (Cu Kα X-rays).
No peak broadening, texture or thermal motion is included.

Top 10 peaks for 10° ≤ 2θ ≤ 90°, in order of rising 2θ:
2θ (°), d_spacing, I (rel.)
17.6, 5.032, 48
24.1, 3.698, 46
24.5, 3.628, 100
26.0, 3.433, 94
27.4, 3.256, 54
27.8, 3.208, 100
42.6, 2.121, 86
46.7, 1.946, 44
46.9, 1.936, 83
50.6, 1.805, 61

Crystal structure
```
data_Li2MgSnSe4
_cell_length_a 8.327
_cell_length_b 7.396
_cell_length_c 6.865
_cell_angle_alpha 90.00
_cell_angle_beta 90.00
_cell_angle_gamma 90.00
_symmetry_space_group_name_H-M 'P m n 21'
_symmetry_Int_Tables_number 31
_symmetry_space_group_name_Hall 'P 2ac -2'
loop_
_atom_site_label
_atom_site_type_symbol
_atom_site_fract_x
_atom_site_fract_y
_atom_site_fract_z
Li1 Li 0.247 0.170 0.000
Mg1 Mg 0.000 0.345 0.494
Sn1 Sn 0.000 0.666 0.999
Se1 Se 0.000 0.340 0.875
Se2 Se 0.000 0.676 0.374
Se3 Se 0.248 0.838 0.876
```

Please write out number 1 again, unchanged.
For NpTaN, a crystal structure in Alexandria, relaxed with PBE gives the computed powder X-ray diffraction pattern in this record (Cu Kα X-rays).
No peak broadening, texture or thermal motion is included.

Top 10 peaks for 10° ≤ 2θ ≤ 90°, in order of rising 2θ:
2θ (°), d_spacing, I (rel.)
32.0, 2.793, 31
33.4, 2.681, 20
37.2, 2.417, 100
47.0, 1.934, 20
59.7, 1.548, 18
60.5, 1.529, 24
69.4, 1.354, 21
72.5, 1.304, 15
77.0, 1.239, 4
79.3, 1.209, 4

Crystal structure
```
data_NpTaN
_cell_length_a 11.171
_cell_length_b 3.095
_cell_length_c 5.363
_cell_angle_alpha 90.00
_cell_angle_beta 90.00
_cell_angle_gamma 90.00
_symmetry_space_group_name_H-M 'A m m 2'
_symmetry_Int_Tables_number 38
_symmetry_space_group_name_Hall 'A 2 -2'
loop_
_atom_site_label
_atom_site_type_symbol
_atom_site_fract_x
_atom_site_fract_y
_atom_site_fract_z
Np1 Np 0.000 0.000 0.000
Np2 Np 0.500 0.000 0.002
Ta1 Ta 0.255 0.000 0.333
N1 N 0.147 0.000 0.667
```